Diffraction record for BaSbAu2. The X-ray powder pattern is computed, not measured: it uses a cell relaxed with GGA-PBE and a wavelength of 1.5418 Å.
Neutral-atom scattering factors, no anomalous dispersion.

Principal peaks in the range 2θ = 10–80°, sorted by position:
21.49 deg, I 6; 23.67 deg, I 7; 30.17 deg, I 39; 32.96 deg, I 100; 36.98 deg, I 23; 37.50 deg, I 10; 39.02 deg, I 8; 48.44 deg, I 21; 50.10 deg, I 8; 53.69 deg, I 7; 55.39 deg, I 23; 64.11 deg, I 15

Cell and atoms:
```
BaSbAu2
1.0
-2.431 2.962 3.934
2.431 -2.962 3.934
2.431 2.962 -3.934
Ba Sb Au
1 1 2
Cartesian
0.000 0.000 0.000
0.000 0.000 3.934
2.431 0.000 2.331
0.000 2.962 1.603
```